Starting from DFT lattice parameters and positions (GGA-PBE), the X-ray powder pattern of Li2Ca8Al was simulated for CuKα.
No peak broadening, texture or thermal motion is included.

Crystal structure
a b c (Å): 9.287 9.287 9.287
angles (deg): 145.77 120.31 70.64
Fractional positions:
Li1 0.196 0.196 0.000
Li2 0.804 0.804 0.000
Ca1 0.070 0.345 0.725
Ca2 0.189 0.000 0.189
Ca3 0.367 0.867 0.500
Ca4 0.380 0.655 0.725
Ca5 0.620 0.345 0.275
Ca6 0.633 0.133 0.500
Ca7 0.811 0.000 0.811
Ca8 0.930 0.655 0.275
Al1 0.500 0.500 0.000

Principal peaks in the range 10 to 90 degrees two-theta, in order of rising 2θ:
| d/Å | 2theta | I_rel |
| --- | --- | --- |
| 3.997 | 22.2 | 11.1 |
| 3.710 | 24.0 | 20.0 |
| 3.019 | 29.6 | 21.8 |
| 2.951 | 30.3 | 26.9 |
| 2.893 | 30.9 | 100.0 |
| 2.733 | 32.8 | 28.7 |
| 2.527 | 35.5 | 17.8 |
| 2.026 | 44.7 | 12.8 |
| 1.607 | 57.3 | 18.1 |
| 1.590 | 58.0 | 10.7 |

Starting from DFT lattice parameters and positions (GGA-PBE), the X-ray powder pattern of Li2Ca2Al15 was simulated for CuKα.
No peak broadening, texture or thermal motion is included.

Crystal structure
a b c (Å): 7.135 7.135 7.135
angles (deg): 83.04 83.04 83.04
Fractional positions:
Li1 0.099 0.099 0.099
Li2 0.901 0.901 0.901
Ca1 0.346 0.346 0.346
Ca2 0.654 0.654 0.654
Al1 0.000 0.000 0.500
Al2 0.000 0.293 0.707
Al3 0.000 0.500 0.000
Al4 0.000 0.707 0.293
Al5 0.153 0.649 0.649
Al6 0.293 0.000 0.707
Al7 0.293 0.707 0.000
Al8 0.351 0.351 0.847
Al9 0.351 0.847 0.351
Al10 0.500 0.000 0.000
Al11 0.649 0.153 0.649
Al12 0.649 0.649 0.153
Al13 0.707 0.000 0.293
Al14 0.707 0.293 0.000
Al15 0.847 0.351 0.351

Principal peaks in the range 10 to 90 degrees two-theta, in order of rising 2θ:
| d/Å | 2theta | I_rel |
| --- | --- | --- |
| 4.730 | 18.8 | 16.1 |
| 3.295 | 27.1 | 21.5 |
| 2.731 | 32.8 | 20.0 |
| 2.636 | 34.0 | 21.2 |
| 2.365 | 38.0 | 44.4 |
| 2.347 | 38.3 | 100.0 |
| 2.296 | 39.2 | 36.2 |
| 2.103 | 43.0 | 43.1 |
| 1.648 | 55.8 | 21.5 |
| 1.365 | 68.7 | 15.9 |

Starting from DFT lattice parameters and positions (GGA-PBE), the X-ray powder pattern of Li2Ca5Al was simulated for CuKα.
No peak broadening, texture or thermal motion is included.

Crystal structure
a b c (Å): 9.791 9.791 9.791
angles (deg): 131.34 131.34 71.27
Fractional positions:
Li1 0.117 0.617 0.735
Li2 0.383 0.117 0.500
Li3 0.617 0.883 0.500
Li4 0.883 0.383 0.265
Ca1 0.000 0.000 0.000
Ca2 0.019 0.172 0.500
Ca3 0.172 0.672 0.153
Ca4 0.328 0.481 0.500
Ca5 0.481 0.981 0.153
Ca6 0.500 0.500 0.000
Ca7 0.519 0.019 0.847
Ca8 0.672 0.519 0.500
Ca9 0.828 0.328 0.847
Ca10 0.981 0.828 0.500
Al1 0.250 0.250 0.000
Al2 0.750 0.750 0.000

Principal peaks in the range 10 to 90 degrees two-theta, in order of rising 2θ:
| d/Å | 2theta | I_rel |
| --- | --- | --- |
| 3.518 | 25.3 | 38.8 |
| 3.263 | 27.3 | 33.0 |
| 2.983 | 30.0 | 100.0 |
| 2.852 | 31.4 | 21.4 |
| 2.833 | 31.6 | 54.4 |
| 2.653 | 33.8 | 17.2 |
| 2.551 | 35.2 | 45.4 |
| 1.924 | 47.3 | 16.1 |
| 1.837 | 49.6 | 35.3 |
| 1.716 | 53.4 | 19.2 |

Starting from DFT lattice parameters and positions (GGA-PBE), the X-ray powder pattern of Li3Ca2Mg12Al was simulated for CuKα.
No peak broadening, texture or thermal motion is included.

Crystal structure
a b c (Å): 15.077 15.077 15.077
angles (deg): 23.52 23.52 23.52
Fractional positions:
Li1 0.000 0.500 0.500
Li2 0.500 0.000 0.500
Li3 0.500 0.500 0.000
Ca1 0.149 0.149 0.149
Ca2 0.851 0.851 0.851
Mg1 0.108 0.108 0.618
Mg2 0.108 0.618 0.108
Mg3 0.113 0.614 0.614
Mg4 0.382 0.892 0.892
Mg5 0.386 0.386 0.887
Mg6 0.386 0.887 0.386
Mg7 0.614 0.113 0.614
Mg8 0.614 0.614 0.113
Mg9 0.618 0.108 0.108
Mg10 0.887 0.386 0.386
Mg11 0.892 0.382 0.892
Mg12 0.892 0.892 0.382
Al1 0.500 0.500 0.500

Principal peaks in the range 10 to 90 degrees two-theta, in order of rising 2θ:
| d/Å | 2theta | I_rel |
| --- | --- | --- |
| 3.389 | 26.3 | 40.3 |
| 3.007 | 29.7 | 36.7 |
| 2.833 | 31.6 | 47.4 |
| 2.704 | 33.1 | 37.8 |
| 2.586 | 34.7 | 100.0 |
| 2.442 | 36.8 | 30.9 |
| 2.395 | 37.6 | 79.1 |
| 2.276 | 39.6 | 21.7 |
| 1.694 | 54.1 | 22.4 |
| 1.536 | 60.2 | 34.5 |